Starting from a PBE-relaxed structure, the powder XRD pattern of Rb8C3O8 was computed for a wavelength of 1.5418 Å.
Peak positions follow from Bragg's law for the DFT cell and can differ from measured ones.

Atomic structure:
abc: 14.203 14.203 9.554
angles: 109.21 109.21 19.81
Sites, in units of the cell vectors:
Rb: 0.077 0.077 0.271
Rb: 0.206 0.206 0.857
Rb: 0.303 0.303 0.500
Rb: 0.407 0.407 0.076
Rb: 0.593 0.593 0.924
Rb: 0.697 0.697 0.500
Rb: 0.794 0.794 0.143
Rb: 0.923 0.923 0.729
C: 0.194 0.194 0.198
C: 0.500 0.500 0.500
C: 0.806 0.806 0.802
O: 0.152 0.152 0.083
O: 0.192 0.192 0.333
O: 0.238 0.238 0.180
O: 0.499 0.499 0.375
O: 0.501 0.501 0.625
O: 0.762 0.762 0.820
O: 0.808 0.808 0.667
O: 0.848 0.848 0.917

Principal peaks in the range 2θ = 15–90°, in order of rising 2θ:
d 4.777, intensity 18.6; d 3.631, intensity 100.0; d 3.388, intensity 42.4; d 2.736, intensity 17.7; d 2.444, intensity 21.9; d 2.139, intensity 20.7